Theoretical powder XRD pattern of Nb8In for Cu Kα (λ = 1.5418 Å), from a cell relaxed with GGA-PBE.

Peak list (8 most intense, 2θ from 10° to 90°, in order of rising 2θ)
two_theta, I (rel.)
37.94, 100.0
38.36, 48.3
54.10, 8.7
55.38, 16.1
68.26, 16.9
69.10, 32.3
81.11, 10.3
82.16, 4.9

a = 9.9545 Å, b = 9.9545 Å, c = 3.3902 Å
α = 90.00°, β = 90.00°, γ = 90.00°
Space group I4/mmm (No. 139)
Asymmetric unit:
1 Nb 0.0000 0.3345 0.0000 [8 per cell]
2 Nb 0.1711 0.1711 0.5000 [8 per cell]
3 In 0.0000 0.0000 0.0000 [2 per cell]